[1]
Structure and computed X-ray diffraction stick pattern of Ca2ZrSnO6 (DFT lattice parameters and positions (PBE); Cu Kα, 1.54184 Å).
Neutral-atom scattering factors, no anomalous dispersion.

The 12 most intense peaks (5 to 70 degrees two-theta), in order of rising 2θ:
2θ (°)	I_rel	hkl
18.69	2	1 1 1
21.61	46	2 0 0
30.75	100	2 2 0
36.23	1	3 1 1
44.05	40	4 0 0
48.24	1	3 3 1
49.58	20	4 2 0
54.68	40	4 2 2
58.31	1	5 1 1
64.06	24	4 4 0
67.37	1	5 3 1
68.46	10	6 0 0

Atomic structure:
```
data_Ca2ZrSnO6
_chemical_formula_sum 'Ca8 Zr4 Sn4 O24'
_symmetry_space_group_name_H-M 'F m -3 m'
_symmetry_Int_Tables_number 225
_symmetry_space_group_name_Hall '-F 4 2 3'
_cell_length_a 8.223
_cell_length_b 8.223
_cell_length_c 8.223
_cell_angle_alpha 90.00
_cell_angle_beta 90.00
_cell_angle_gamma 90.00
loop_
_atom_site_label
_atom_site_type_symbol
_atom_site_fract_x
_atom_site_fract_y
_atom_site_fract_z
Ca1 Ca 0.250 0.250 0.250
Zr1 Zr 0.000 0.000 0.000
Sn1 Sn 0.000 0.000 0.500
O1 O 0.000 0.000 0.252
```

[2]
Structure and computed X-ray diffraction stick pattern of Ca2B5H3O11 (DFT lattice parameters and positions (PBE); Cu Kα, 1.54184 Å).
Neutral-atom scattering factors, no anomalous dispersion.

The 12 most intense peaks (5 to 70 degrees two-theta), in order of rising 2θ:
2θ (°)	I_rel	hkl
15.56	76	0 0 2
16.15	80	1 1 0
28.15	48	0 2 1
28.36	35	3 1 -2
30.23	59	3 1 0
31.41	53	0 0 4
31.65	100	2 2 -1
43.36	38	2 0 -6
43.91	67	4 2 -3
44.96	40	2 2 3
46.63	43	1 3 -3
48.52	37	0 2 5

Atomic structure:
```
data_Ca2B5H3O11
_chemical_formula_sum 'Ca8 B20 H12 O44'
_symmetry_space_group_name_H-M 'C 1 c 1'
_symmetry_Int_Tables_number 9
_symmetry_space_group_name_Hall 'C -2yc'
_cell_length_a 10.910
_cell_length_b 6.606
_cell_length_c 12.531
_cell_angle_alpha 90.00
_cell_angle_beta 114.63
_cell_angle_gamma 90.00
loop_
_atom_site_label
_atom_site_type_symbol
_atom_site_fract_x
_atom_site_fract_y
_atom_site_fract_z
Ca1 Ca 0.000 0.091 0.000
Ca2 Ca 0.287 0.098 0.797
B1 B 0.010 0.386 0.752
B2 B 0.089 0.372 0.593
B3 B 0.163 0.393 0.974
B4 B 0.252 0.259 0.511
B5 B 0.343 0.097 0.043
H1 H 0.016 0.113 0.269
H2 H 0.017 0.220 0.386
H3 H 0.124 0.246 0.205
O1 O 0.028 0.401 0.867
O2 O 0.094 0.107 0.207
O3 O 0.115 0.353 0.720
O4 O 0.128 0.427 0.073
O5 O 0.174 0.213 0.571
O6 O 0.212 0.188 0.974
O7 O 0.256 0.449 0.467
O8 O 0.333 0.117 0.493
O9 O 0.379 0.084 0.171
O10 O 0.449 0.195 0.020
O11 O 0.459 0.371 0.824
```

[3]
Structure and computed X-ray diffraction stick pattern of PaGa3 (DFT lattice parameters and positions (PBE); Cu Kα, 1.54184 Å).
Neutral-atom scattering factors, no anomalous dispersion.

The 12 most intense peaks (5 to 70 degrees two-theta), in order of rising 2θ:
2θ (°)	I_rel	hkl
25.51	43	1 0 1
28.44	20	1 1 0
32.96	25	2 0 0
38.57	100	2 0 1
39.55	22	0 0 2
44.08	8	2 1 0
48.61	8	2 1 1
49.43	9	1 1 2
52.40	14	2 0 2
58.85	18	2 2 0
60.69	6	2 1 2
65.18	9	3 1 1

Atomic structure:
```
data_PaGa3
_chemical_formula_sum 'Pa2 Ga6'
_symmetry_space_group_name_H-M 'P 63/m m c'
_symmetry_Int_Tables_number 194
_symmetry_space_group_name_Hall '-P 6c 2c'
_cell_length_a 6.2763
_cell_length_b 6.2763
_cell_length_c 4.5577
_cell_angle_alpha 90.00
_cell_angle_beta 90.00
_cell_angle_gamma 120.00
loop_
_atom_site_label
_atom_site_type_symbol
_atom_site_fract_x
_atom_site_fract_y
_atom_site_fract_z
Pa1 Pa 0.3333 0.6667 0.2500
Ga1 Ga 0.1496 0.2992 0.7500
```

[4]
Structure and computed X-ray diffraction stick pattern of Zr2Al (DFT lattice parameters and positions (PBE); Cu Kα, 1.54184 Å).
Neutral-atom scattering factors, no anomalous dispersion.

The 12 most intense peaks (5 to 70 degrees two-theta), in order of rising 2θ:
2θ (°)	I_rel	hkl
18.27	7	1 1 0
33.31	16	0 0 2
33.61	100	2 1 1
38.26	14	1 1 2
41.60	23	3 1 0
42.71	10	2 0 2
54.30	7	3 1 2
56.90	5	3 3 0
57.98	9	4 1 1
59.72	18	2 1 3
64.39	10	4 0 2
67.56	12	3 3 2

Atomic structure:
```
data_Zr2Al
_chemical_formula_sum 'Zr8 Al4'
_symmetry_space_group_name_H-M 'I 4/m c m'
_symmetry_Int_Tables_number 140
_symmetry_space_group_name_Hall '-I 4 2c'
_cell_length_a 6.866
_cell_length_b 6.866
_cell_length_c 5.379
_cell_angle_alpha 90.00
_cell_angle_beta 90.00
_cell_angle_gamma 90.00
loop_
_atom_site_label
_atom_site_type_symbol
_atom_site_fract_x
_atom_site_fract_y
_atom_site_fract_z
Zr1 Zr 0.152 0.348 0.000
Al1 Al 0.000 0.000 0.250
```

[5]
Structure and computed X-ray diffraction stick pattern of Sb2P3O12 (DFT lattice parameters and positions (PBE); Cu Kα, 1.54184 Å).
Neutral-atom scattering factors, no anomalous dispersion.

The 12 most intense peaks (5 to 70 degrees two-theta), in order of rising 2θ:
2θ (°)	I_rel	hkl
14.29	48	0 1 2
19.52	100	1 0 4
20.98	67	1 1 0
23.97	42	1 1 3
28.81	54	0 2 4
31.34	65	2 -1 6
35.91	30	3 -1 4
36.77	28	3 0 0
49.07	19	4 -2 6
51.37	23	2 1 10
57.00	19	3 2 4
57.60	17	4 1 0

Atomic structure:
```
data_Sb2P3O12
_chemical_formula_sum 'Sb12 P18 O72'
_symmetry_space_group_name_H-M 'R -3'
_symmetry_Int_Tables_number 148
_symmetry_space_group_name_Hall '-R 3'
_cell_length_a 8.4670
_cell_length_b 8.4670
_cell_length_c 23.1904
_cell_angle_alpha 90.00
_cell_angle_beta 90.00
_cell_angle_gamma 120.00
loop_
_atom_site_label
_atom_site_type_symbol
_atom_site_fract_x
_atom_site_fract_y
_atom_site_fract_z
Sb1 Sb 0.0000 0.0000 0.1423
Sb2 Sb 0.0000 0.0000 0.3480
P1 P 0.0030 0.2951 0.2521
O1 O 0.0197 0.2190 0.1942
O2 O 0.0430 0.8330 0.0846
O3 O 0.0796 0.8572 0.7003
O4 O 0.0865 0.8669 0.3975
```

[6]
Structure and computed X-ray diffraction stick pattern of TaVCu6Se8 (DFT lattice parameters and positions (PBE); Cu Kα, 1.54184 Å).
Neutral-atom scattering factors, no anomalous dispersion.

The 12 most intense peaks (5 to 70 degrees two-theta), in order of rising 2θ:
2θ (°)	I_rel	hkl
11.06	8	1 0 0
15.67	68	1 1 0
19.22	5	1 0 1
27.31	73	2 0 1
29.55	5	2 1 1
35.49	31	3 1 0
45.35	100	4 0 0
48.28	17	4 0 1
53.76	32	4 2 1
58.87	9	5 1 0
66.08	16	0 0 4
68.39	9	1 1 4

Atomic structure:
```
data_TaVCu6Se8
_chemical_formula_sum 'Ta1 V1 Cu6 Se8'
_symmetry_space_group_name_H-M 'P -4 m 2'
_symmetry_Int_Tables_number 115
_symmetry_space_group_name_Hall 'P -4 -2'
_cell_length_a 7.998
_cell_length_b 7.998
_cell_length_c 5.656
_cell_angle_alpha 90.00
_cell_angle_beta 90.00
_cell_angle_gamma 90.00
loop_
_atom_site_label
_atom_site_type_symbol
_atom_site_fract_x
_atom_site_fract_y
_atom_site_fract_z
Ta1 Ta 0.000 0.000 0.000
V1 V 0.500 0.500 0.000
Cu1 Cu 0.000 0.000 0.500
Cu2 Cu 0.252 0.252 0.000
Cu3 Cu 0.500 0.500 0.500
Se1 Se 0.000 0.252 0.749
Se2 Se 0.259 0.500 0.242
```

[7]
Structure and computed X-ray diffraction stick pattern of BaSrNd4O8 (DFT lattice parameters and positions (PBE); Cu Kα, 1.54184 Å).
Neutral-atom scattering factors, no anomalous dispersion.

The 12 most intense peaks (5 to 70 degrees two-theta), in order of rising 2θ:
2θ (°)	I_rel	hkl
28.54	49	0 4 0
29.18	100	0 2 3
29.80	82	1 2 1
30.01	36	1 0 2
33.93	17	1 3 1
41.90	40	1 4 2
42.51	23	1 0 4
50.95	18	0 6 3
51.34	18	1 6 1
52.00	21	1 4 4
59.07	17	2 4 0
59.44	28	2 2 3

Atomic structure:
```
data_BaSrNd4O8
_chemical_formula_sum 'Ba2 Sr2 Nd8 O16'
_symmetry_space_group_name_H-M 'P m c 21'
_symmetry_Int_Tables_number 26
_symmetry_space_group_name_Hall 'P 2c -2'
_cell_length_a 3.611
_cell_length_b 12.508
_cell_length_c 10.526
_cell_angle_alpha 90.00
_cell_angle_beta 90.00
_cell_angle_gamma 90.00
loop_
_atom_site_label
_atom_site_type_symbol
_atom_site_fract_x
_atom_site_fract_y
_atom_site_fract_z
Ba1 Ba 0.000 0.103 0.000
Sr1 Sr 0.500 0.397 0.496
Nd1 Nd 0.000 0.143 0.334
Nd2 Nd 0.000 0.367 0.820
Nd3 Nd 0.500 0.139 0.674
Nd4 Nd 0.500 0.364 0.165
O1 O 0.000 0.033 0.736
O2 O 0.000 0.271 0.616
O3 O 0.000 0.332 0.323
O4 O 0.000 0.433 0.033
O5 O 0.500 0.076 0.463
O6 O 0.500 0.176 0.182
O7 O 0.500 0.237 0.874
O8 O 0.500 0.468 0.759
```